This entry pairs a crystal structure of La2Mg2Pt15 with its simulated powder XRD pattern. Radiation: Cu Kα. Structure: a cell relaxed with GGA-PBE.
Neutral-atom scattering factors, no anomalous dispersion.

Principal peaks in the range 10° ≤ 2θ ≤ 90°, in order of falling intensity:
| d [Å] | Rel. int. | h k l |
| --- | --- | --- |
| 2.315 | 100 | 3 0 3 |
| 2.073 | 81 | 2 2 3 |
| 4.656 | 54 | 1 1 0 |
| 2.276 | 41 | 0 0 6 |
| 2.328 | 33 | 2 2 0 |
| 1.157 | 23 | 6 0 6 |
| 1.344 | 22 | 6 0 0 |
| 1.469 | 21 | 3 3 3 |
| 1.627 | 18 | 2 2 6 |
| 2.045 | 17 | 1 1 6 |
| 1.321 | 16 | 3 0 9 |
| 1.271 | 15 | 2 2 9 |

Crystal structure
a = 9.3117 Å, b = 9.3117 Å, c = 13.6543 Å
α = 90.00°, β = 90.00°, γ = 120.00°
Space group R-3m (No. 166, hexagonal axes)
Symmetry-distinct sites (fractional):
La (0.0000, 0.0000, 0.1507) (multiplicity 6)
Mg (0.0000, 0.0000, 0.3992) (multiplicity 6)
Pt (0.0000, 0.3092, 0.5000) (multiplicity 18)
Pt (0.0000, 0.5000, 0.0000) (multiplicity 9)
Pt (0.0003, 0.5001, 0.3433) (multiplicity 18)